[1]
For MgTi8Ni8O24, a structure optimized by DFT (PBE+U) gives the theoretical powder XRD pattern in this record (λ = 1.5418 Å (Cu Kα)).

Atomic structure:
a b c (Å): 5.5818 9.1000 9.1074
angles (deg): 67.82 84.00 83.68
Space group P1 (No. 1)
Unique sites:
Mg  0.0000  0.0000  0.0000 [1 per cell]
Ti  0.1971  0.1917  0.6674 [1 per cell]
Ti  0.2090  0.4304  0.9188 [1 per cell]
Ti  0.2135  0.6678  0.1859 [1 per cell]
Ti  0.2891  0.8230  0.8060 [1 per cell]
Ti  0.3040  0.3186  0.3238 [1 per cell]
Ti  0.7138  0.6720  0.6754 [1 per cell]
Ti  0.7234  0.1902  0.1733 [1 per cell]
Ti  0.7863  0.8193  0.3359 [1 per cell]
Ni  0.2000  0.9279  0.4197 [1 per cell]
Ni  0.3041  0.5758  0.5714 [1 per cell]
Ni  0.3495  0.0805  0.0841 [1 per cell]
Ni  0.6528  0.9202  0.9141 [1 per cell]
Ni  0.7131  0.4217  0.4252 [1 per cell]
Ni  0.7962  0.3263  0.8204 [1 per cell]
Ni  0.7975  0.0745  0.5776 [1 per cell]
Ni  0.8031  0.5834  0.0731 [1 per cell]
O  0.0003  0.9646  0.7892 [1 per cell]
O  0.0015  0.0360  0.2117 [1 per cell]
O  0.0268  0.4752  0.2732 [1 per cell]
O  0.1545  0.7234  0.3644 [1 per cell]
O  0.1568  0.6281  0.9625 [1 per cell]
O  0.1643  0.1358  0.4636 [1 per cell]
O  0.1668  0.2132  0.8732 [1 per cell]
O  0.3213  0.8699  0.0323 [1 per cell]
O  0.3481  0.7779  0.6253 [1 per cell]
O  0.3490  0.3666  0.5289 [1 per cell]
O  0.3645  0.2880  0.1199 [1 per cell]
O  0.4677  0.0276  0.7151 [1 per cell]
O  0.4892  0.4713  0.7827 [1 per cell]
O  0.4939  0.5340  0.2223 [1 per cell]
O  0.5236  0.9712  0.2844 [1 per cell]
O  0.6325  0.7213  0.8637 [1 per cell]
O  0.6585  0.2237  0.3658 [1 per cell]
O  0.6628  0.6270  0.4727 [1 per cell]
O  0.6778  0.1190  0.9768 [1 per cell]
O  0.8497  0.8656  0.5290 [1 per cell]
O  0.8505  0.7869  0.1296 [1 per cell]
O  0.8639  0.2719  0.6244 [1 per cell]
O  0.8636  0.3711  0.0353 [1 per cell]
O  0.9952  0.5334  0.7264 [1 per cell]

Principal peaks in the range 2θ from 5° to 70°, sorted by position:
index	2θ (°)	d [Å]	intensity
0 2 2	23.7	3.749	30
1 3 1	32.3	2.770	100
-1 1 3	35.3	2.541	67
-1 3 1	35.4	2.535	33
0 4 2	40.3	2.238	17
0 4 4	48.6	1.874	25
2 4 0	52.7	1.738	29
1 3 5	52.7	1.737	30
3 -1 1	52.9	1.732	29
1 5 -1	61.5	1.508	21

***

[2]
For MgTi8Ni8O24, a structure optimized by DFT (PBE+U) gives the theoretical powder XRD pattern in this record (λ = 1.5418 Å (Cu Kα)).

Atomic structure:
a b c (Å): 5.6205 9.0720 9.1542
angles (deg): 67.91 83.96 84.36
Space group P1 (No. 1)
Unique sites:
Mg  0.0000  0.0000  0.0000 [1 per cell]
Ti  0.0247  0.7556  0.7525 [1 per cell]
Ti  0.0789  0.2728  0.2669 [1 per cell]
Ti  0.1572  0.4193  0.8999 [1 per cell]
Ti  0.4077  0.8436  0.8579 [1 per cell]
Ti  0.5614  0.7794  0.2540 [1 per cell]
Ti  0.5654  0.0148  0.5006 [1 per cell]
Ti  0.5839  0.2492  0.7649 [1 per cell]
Ti  0.6471  0.4240  0.4060 [1 per cell]
Ni  0.0565  0.5127  0.5127 [1 per cell]
Ni  0.1580  0.9061  0.4148 [1 per cell]
Ni  0.1607  0.6600  0.1689 [1 per cell]
Ni  0.1625  0.1715  0.6552 [1 per cell]
Ni  0.3616  0.0851  0.0772 [1 per cell]
Ni  0.5630  0.5030  0.0176 [1 per cell]
Ni  0.6518  0.6525  0.6528 [1 per cell]
Ni  0.6932  0.1735  0.1715 [1 per cell]
O  0.0128  0.7073  0.5671 [1 per cell]
O  0.0182  0.3172  0.4493 [1 per cell]
O  0.0322  0.2206  0.0611 [1 per cell]
O  0.0682  0.8032  0.9433 [1 per cell]
O  0.2096  0.3682  0.7222 [1 per cell]
O  0.2125  0.4524  0.1207 [1 per cell]
O  0.2182  0.8668  0.2075 [1 per cell]
O  0.2272  0.9484  0.6324 [1 per cell]
O  0.3510  0.6247  0.8128 [1 per cell]
O  0.3569  0.1266  0.3226 [1 per cell]
O  0.3631  0.0518  0.8525 [1 per cell]
O  0.3708  0.5544  0.3662 [1 per cell]
O  0.5172  0.3027  0.9529 [1 per cell]
O  0.5203  0.7166  0.0528 [1 per cell]
O  0.5209  0.8163  0.4494 [1 per cell]
O  0.5251  0.2150  0.5519 [1 per cell]
O  0.6882  0.8648  0.7054 [1 per cell]
O  0.6967  0.4470  0.6140 [1 per cell]
O  0.6989  0.9643  0.1350 [1 per cell]
O  0.7229  0.3694  0.2229 [1 per cell]
O  0.8326  0.6220  0.3073 [1 per cell]
O  0.8575  0.0618  0.3805 [1 per cell]
O  0.8588  0.1350  0.7967 [1 per cell]
O  0.8636  0.5492  0.8690 [1 per cell]

Principal peaks in the range 2θ from 5° to 70°, sorted by position:
index	2θ (°)	d [Å]	intensity
2 0 0	32.1	2.790	34
1 1 3	32.1	2.787	30
1 3 1	32.5	2.758	28
-1 1 3	35.1	2.556	51
0 2 -2	35.2	2.546	100
2 0 -2	40.0	2.254	27
3 -1 1	52.3	1.749	44
3 1 -1	52.5	1.743	45
2 4 0	52.9	1.730	45
1 1 -5	63.1	1.474	44

***

[3]
For MgTi8Ni8O24, a structure optimized by DFT (PBE+U) gives the theoretical powder XRD pattern in this record (λ = 1.5418 Å (Cu Kα)).

Atomic structure:
a b c (Å): 5.6062 9.0538 9.1003
angles (deg): 67.89 83.64 83.77
Space group P1 (No. 1)
Unique sites:
Mg  0.0000  0.0000  0.0000 [1 per cell]
Ti  0.2145  0.9367  0.4162 [1 per cell]
Ti  0.2169  0.4163  0.9245 [1 per cell]
Ti  0.2943  0.5741  0.5701 [1 per cell]
Ti  0.2944  0.8172  0.8200 [1 per cell]
Ti  0.3650  0.0958  0.0786 [1 per cell]
Ti  0.7264  0.4295  0.4284 [1 per cell]
Ti  0.7920  0.5845  0.0720 [1 per cell]
Ti  0.7963  0.0712  0.5753 [1 per cell]
Ni  0.2056  0.1799  0.6676 [1 per cell]
Ni  0.2064  0.6748  0.1761 [1 per cell]
Ni  0.3128  0.3299  0.3279 [1 per cell]
Ni  0.6642  0.9176  0.9142 [1 per cell]
Ni  0.7066  0.6749  0.6714 [1 per cell]
Ni  0.7326  0.1866  0.1838 [1 per cell]
Ni  0.8082  0.3356  0.8201 [1 per cell]
Ni  0.8115  0.8228  0.3274 [1 per cell]
O  0.0082  0.9694  0.7831 [1 per cell]
O  0.0211  0.5299  0.7148 [1 per cell]
O  0.0370  0.0306  0.2096 [1 per cell]
O  0.1535  0.1194  0.4691 [1 per cell]
O  0.1583  0.6271  0.9605 [1 per cell]
O  0.1666  0.2143  0.8867 [1 per cell]
O  0.1686  0.7212  0.3832 [1 per cell]
O  0.3305  0.8879  0.0203 [1 per cell]
O  0.3406  0.7859  0.6194 [1 per cell]
O  0.3565  0.3882  0.5253 [1 per cell]
O  0.3606  0.2891  0.1244 [1 per cell]
O  0.4886  0.4756  0.7781 [1 per cell]
O  0.5083  0.0246  0.7079 [1 per cell]
O  0.5118  0.9746  0.2846 [1 per cell]
O  0.5274  0.5313  0.2183 [1 per cell]
O  0.6406  0.7110  0.8822 [1 per cell]
O  0.6565  0.6171  0.4744 [1 per cell]
O  0.6683  0.2235  0.3890 [1 per cell]
O  0.6800  0.1244  0.9709 [1 per cell]
O  0.8505  0.2825  0.6168 [1 per cell]
O  0.8526  0.7844  0.1142 [1 per cell]
O  0.8590  0.8872  0.5266 [1 per cell]
O  0.8658  0.3924  0.0278 [1 per cell]
O  0.9935  0.4769  0.2807 [1 per cell]

Principal peaks in the range 2θ from 5° to 70°, sorted by position:
index	2θ (°)	d [Å]	intensity
1 1 -1	23.8	3.745	31
0 2 2	23.8	3.732	17
1 1 3	32.2	2.778	68
1 3 1	32.4	2.762	32
-1 3 1	35.4	2.533	100
1 3 -1	40.3	2.236	18
2 0 4	52.6	1.740	44
1 5 3	52.9	1.731	28
-3 1 3	61.5	1.507	21
-2 4 4	63.7	1.462	29

***

[4]
For MgTi8Ni8O24, a structure optimized by DFT (PBE+U) gives the theoretical powder XRD pattern in this record (λ = 1.5418 Å (Cu Kα)).

Atomic structure:
a b c (Å): 5.6350 9.0673 9.0908
angles (deg): 68.37 84.24 84.22
Space group P1 (No. 1)
Unique sites:
Mg  0.0000  0.0000  0.0000 [1 per cell]
Ti  0.3853  0.2528  0.7429 [1 per cell]
Ti  0.4054  0.7375  0.2391 [1 per cell]
Ti  0.5703  0.1423  0.1561 [1 per cell]
Ti  0.8230  0.0904  0.5842 [1 per cell]
Ti  0.8225  0.5815  0.0893 [1 per cell]
Ti  0.9091  0.4893  0.4864 [1 per cell]
Ti  0.9161  0.7297  0.7237 [1 per cell]
Ti  0.9569  0.2345  0.2430 [1 per cell]
Ni  0.2826  0.8237  0.8327 [1 per cell]
Ni  0.3265  0.5878  0.5882 [1 per cell]
Ni  0.3337  0.3436  0.3438 [1 per cell]
Ni  0.4133  0.9806  0.5028 [1 per cell]
Ni  0.4161  0.4931  0.9844 [1 per cell]
Ni  0.6240  0.9163  0.9189 [1 per cell]
Ni  0.8098  0.3393  0.8319 [1 per cell]
Ni  0.8160  0.8315  0.3414 [1 per cell]
O  0.0916  0.6234  0.9404 [1 per cell]
O  0.1116  0.1326  0.4522 [1 per cell]
O  0.1196  0.2076  0.8653 [1 per cell]
O  0.1313  0.6890  0.3731 [1 per cell]
O  0.2431  0.7863  0.6363 [1 per cell]
O  0.2629  0.3811  0.5469 [1 per cell]
O  0.2889  0.2822  0.1456 [1 per cell]
O  0.2996  0.8621  0.0404 [1 per cell]
O  0.4669  0.4316  0.7909 [1 per cell]
O  0.4687  0.9408  0.2874 [1 per cell]
O  0.4733  0.0460  0.7068 [1 per cell]
O  0.4755  0.5486  0.1917 [1 per cell]
O  0.6313  0.6979  0.8801 [1 per cell]
O  0.6319  0.1270  0.9527 [1 per cell]
O  0.6321  0.1850  0.3758 [1 per cell]
O  0.6320  0.6280  0.4363 [1 per cell]
O  0.7632  0.3684  0.0547 [1 per cell]
O  0.7650  0.8812  0.5499 [1 per cell]
O  0.7711  0.2897  0.6159 [1 per cell]
O  0.7768  0.7827  0.1259 [1 per cell]
O  0.9216  0.0484  0.1990 [1 per cell]
O  0.9448  0.9471  0.7865 [1 per cell]
O  0.9461  0.5457  0.6797 [1 per cell]
O  0.9683  0.4478  0.2857 [1 per cell]

Principal peaks in the range 2θ from 5° to 70°, sorted by position:
index	2θ (°)	d [Å]	intensity
2 0 0	32.0	2.797	20
1 3 1	32.4	2.766	39
0 2 -2	35.2	2.549	100
2 2 -2	48.3	1.884	16
3 1 -1	52.2	1.751	30
2 0 4	52.6	1.741	16
2 4 0	52.6	1.739	15
1 5 3	53.0	1.728	31
1 1 -5	63.1	1.474	15
1 -5 1	63.2	1.471	29

***

[5]
For Mg14TiNiO16, a structure optimized by DFT (PBE+U) gives the theoretical powder XRD pattern in this record (λ = 1.5418 Å (Cu Kα)).

Atomic structure:
a b c (Å): 8.5827 8.5827 4.2253
angles (deg): 90.00 90.00 90.00
Space group P4/mmm (No. 123)
Unique sites:
Mg  0.0000  0.2452  0.0000 [4 per cell]
Mg  0.0000  0.5000  0.5000 [2 per cell]
Mg  0.2421  0.2421  0.5000 [4 per cell]
Mg  0.2444  0.5000  0.0000 [4 per cell]
Ti  0.5000  0.5000  0.5000 [1 per cell]
Ni  0.0000  0.0000  0.5000 [1 per cell]
O  0.0000  0.0000  0.0000 [1 per cell]
O  0.0000  0.2672  0.5000 [4 per cell]
O  0.0000  0.5000  0.0000 [2 per cell]
O  0.2511  0.2511  0.0000 [4 per cell]
O  0.2587  0.5000  0.5000 [4 per cell]
O  0.5000  0.5000  0.0000 [1 per cell]

Principal peaks in the range 2θ from 5° to 70°, sorted by position:
index	2θ (°)	d [Å]	intensity
1 1 0	14.6	6.069	9
2 0 0	20.7	4.291	5
1 1 1	25.7	3.468	5
2 0 1	29.7	3.011	4
2 2 1	36.5	2.465	26
3 1 1	39.5	2.284	4
4 0 0	42.1	2.146	100
0 0 2	42.8	2.113	48
4 4 0	61.1	1.517	28
4 0 2	61.6	1.505	55

***

[6]
For MgZnNi4O8, a structure optimized by DFT (PBE+U) gives the theoretical powder XRD pattern in this record (λ = 1.5418 Å (Cu Kα)).

Atomic structure:
a b c (Å): 10.2110 5.7867 6.0209
angles (deg): 90.00 125.20 90.00
Space group C2/m (No. 12)
Unique sites:
Mg  0.0000  0.0000  0.0000 [2 per cell]
Zn  0.0000  0.5000  0.0000 [2 per cell]
Ni  0.0000  0.0000  0.5000 [2 per cell]
Ni  0.0000  0.5000  0.5000 [2 per cell]
Ni  0.2500  0.2500  0.5000 [4 per cell]
O  0.0243  0.2485  0.2753 [8 per cell]
O  0.2468  0.0000  0.7008 [4 per cell]
O  0.2483  0.5000  0.7040 [4 per cell]

Principal peaks in the range 2θ from 5° to 70°, sorted by position:
index	2θ (°)	d [Å]	intensity
0 0 1	18.0	4.920	58
2 0 -1	18.3	4.845	23
2 0 0	21.3	4.172	13
2 2 -1	36.2	2.484	12
0 0 2	36.5	2.460	14
4 0 -2	37.1	2.423	13
2 2 0	37.8	2.377	24
2 2 -2	43.4	2.086	100
2 2 2	62.6	1.483	18
6 2 -2	63.4	1.467	18

***

[7]
For MgZn2Ni4O8, a structure optimized by DFT (PBE+U) gives the theoretical powder XRD pattern in this record (λ = 1.5418 Å (Cu Kα)).

Atomic structure:
a b c (Å): 8.3831 9.2005 5.8824
angles (deg): 90.00 134.01 90.00
Space group C2 (No. 5)
Unique sites:
Mg  0.0000  0.0000  0.0000 [2 per cell]
Zn  0.0000  0.5575  0.5000 [2 per cell]
Zn  0.0000  0.7218  0.0000 [2 per cell]
Ni  0.0001  0.2038  0.2705 [4 per cell]
Ni  0.2433  0.9094  0.7432 [4 per cell]
O  0.0017  0.4196  0.7751 [4 per cell]
O  0.0016  0.8828  0.2695 [4 per cell]
O  0.2121  0.1423  0.7102 [4 per cell]
O  0.2135  0.1690  0.2119 [4 per cell]

Principal peaks in the range 2θ from 5° to 70°, sorted by position:
index	2θ (°)	d [Å]	intensity
1 3 -1	32.9	2.719	100
1 1 1	34.7	2.585	52
3 1 -1	35.0	2.566	53
1 1 -2	35.2	2.549	46
3 1 -2	35.5	2.532	46
2 2 0	35.6	2.521	33
0 4 0	39.2	2.300	28
5 1 -2	56.6	1.625	31
0 4 2	59.4	1.557	26
4 0 0	61.5	1.508	34

***

[8]
For MgZn2Ni4O8, a structure optimized by DFT (PBE+U) gives the theoretical powder XRD pattern in this record (λ = 1.5418 Å (Cu Kα)).

Atomic structure:
a b c (Å): 2.9133 11.2634 5.1778
angles (deg): 90.00 98.76 90.00
Space group Pm (No. 6)
Unique sites:
Mg  0.0000  0.0000  0.0000 [1 per cell]
Zn  0.1477  0.0000  0.5023 [1 per cell]
Zn  0.1896  0.5000  0.8821 [1 per cell]
Ni  0.5483  0.2334  0.8727 [2 per cell]
Ni  0.7519  0.3514  0.3645 [2 per cell]
O  0.0184  0.1284  0.7456 [2 per cell]
O  0.1469  0.2846  0.1312 [2 per cell]
O  0.3338  0.3694  0.6235 [2 per cell]
O  0.5659  0.0000  0.2429 [1 per cell]
O  0.7509  0.5000  0.1511 [1 per cell]

Principal peaks in the range 2θ from 5° to 70°, sorted by position:
index	2θ (°)	d [Å]	intensity
0 1 0	7.8	11.263	24
0 3 0	23.7	3.754	18
0 3 1	29.5	3.027	100
1 0 -1	33.3	2.691	17
0 0 2	35.0	2.562	62
0 4 1	36.4	2.467	37
1 1 1	39.0	2.310	31
1 2 1	41.5	2.177	22
1 2 -2	46.6	1.947	28
1 3 -2	50.2	1.817	28